Entry 1:
Diffraction record for La2Mg2Rh15. The X-ray diffraction stick pattern is simulated, not measured: it uses a crystal structure in Alexandria, relaxed with PBE and Cu Kα.
Peak positions follow from Bragg's law for the DFT cell and can differ from measured ones.

Structure:
```
data_La2Mg2Rh15
_cell_length_a 6.874
_cell_length_b 6.874
_cell_length_c 6.874
_cell_angle_alpha 82.60
_cell_angle_beta 82.60
_cell_angle_gamma 82.60
_space_group_name_H-M_alt 'P 1'
_space_group_IT_number 1
loop_
_space_group_symop_operation_xyz
'x,y,z'
loop_
_atom_site_label
_atom_site_type_symbol
_atom_site_fract_x
_atom_site_fract_y
_atom_site_fract_z
La1 La 0.151 0.151 0.151
La2 La 0.849 0.849 0.849
Mg1 Mg 0.397 0.397 0.397
Mg2 Mg 0.603 0.603 0.603
Rh1 Rh 0.000 0.500 0.500
Rh2 Rh 0.151 0.151 0.650
Rh3 Rh 0.151 0.650 0.151
Rh4 Rh 0.201 0.500 0.799
Rh5 Rh 0.201 0.799 0.500
Rh6 Rh 0.350 0.849 0.849
Rh7 Rh 0.500 0.000 0.500
Rh8 Rh 0.500 0.201 0.799
Rh9 Rh 0.500 0.500 0.000
Rh10 Rh 0.500 0.799 0.201
Rh11 Rh 0.650 0.151 0.151
Rh12 Rh 0.799 0.201 0.500
Rh13 Rh 0.799 0.500 0.201
Rh14 Rh 0.849 0.350 0.849
Rh15 Rh 0.849 0.849 0.350
```

Peak list (10 most intense, 10 to 90 degrees two-theta, in order of rising 2θ)
2θ (°), I (rel.)
19.57, 23
34.23, 20
35.28, 20
39.74, 42
39.94, 100
40.54, 37
44.85, 54
58.09, 20
65.15, 17
72.11, 23

---

Entry 2:
Diffraction record for LaMg4Rh. The X-ray diffraction stick pattern is simulated, not measured: it uses a crystal structure in Alexandria, relaxed with PBE and Cu Kα.
Peak positions follow from Bragg's law for the DFT cell and can differ from measured ones.

Structure:
```
data_LaMg4Rh
_cell_length_a 8.672
_cell_length_b 4.365
_cell_length_c 7.435
_cell_angle_alpha 90.00
_cell_angle_beta 90.00
_cell_angle_gamma 90.00
_space_group_name_H-M_alt 'P 1'
_space_group_IT_number 1
loop_
_space_group_symop_operation_xyz
'x,y,z'
loop_
_atom_site_label
_atom_site_type_symbol
_atom_site_fract_x
_atom_site_fract_y
_atom_site_fract_z
La1 La 0.250 0.000 0.084
La2 La 0.750 0.000 0.916
Mg1 Mg 0.000 0.000 0.500
Mg2 Mg 0.061 0.500 0.795
Mg3 Mg 0.250 0.500 0.461
Mg4 Mg 0.439 0.500 0.795
Mg5 Mg 0.500 0.000 0.500
Mg6 Mg 0.561 0.500 0.205
Mg7 Mg 0.750 0.500 0.539
Mg8 Mg 0.939 0.500 0.205
Rh1 Rh 0.250 0.000 0.720
Rh2 Rh 0.750 0.000 0.280
```

Peak list (10 most intense, 10 to 90 degrees two-theta, in order of rising 2θ)
2θ (°), I (rel.)
20.34, 84
20.48, 96
26.08, 46
29.03, 100
31.47, 80
33.30, 86
37.75, 62
41.37, 43
43.25, 52
53.00, 41

---

Entry 3:
Diffraction record for LaMg3Rh4. The X-ray diffraction stick pattern is simulated, not measured: it uses a crystal structure in Alexandria, relaxed with PBE and Cu Kα.
Peak positions follow from Bragg's law for the DFT cell and can differ from measured ones.

Structure:
```
data_LaMg3Rh4
_cell_length_a 4.576
_cell_length_b 4.576
_cell_length_c 6.516
_cell_angle_alpha 90.00
_cell_angle_beta 90.00
_cell_angle_gamma 90.00
_space_group_name_H-M_alt 'P 1'
_space_group_IT_number 1
loop_
_space_group_symop_operation_xyz
'x,y,z'
loop_
_atom_site_label
_atom_site_type_symbol
_atom_site_fract_x
_atom_site_fract_y
_atom_site_fract_z
La1 La 0.000 0.000 0.000
Mg1 Mg 0.000 0.000 0.500
Mg2 Mg 0.500 0.500 0.000
Mg3 Mg 0.500 0.500 0.500
Rh1 Rh 0.000 0.500 0.266
Rh2 Rh 0.000 0.500 0.734
Rh3 Rh 0.500 0.000 0.266
Rh4 Rh 0.500 0.000 0.734
```

Peak list (10 most intense, 10 to 90 degrees two-theta, in order of rising 2θ)
2θ (°), I (rel.)
19.40, 9
23.76, 12
27.57, 14
30.85, 11
39.24, 100
39.38, 51
56.91, 17
71.03, 15
71.31, 33
84.38, 10